The following is a theoretical XRD peak list of Nd2Se2N. It was derived from DFT lattice parameters and positions (PBE), using λ = 1.5418 Å (Cu Kα).
Peak positions follow from Bragg's law for the DFT cell and can differ from measured ones.

Crystal structure
```
data_Nd2Se2N
_chemical_formula_sum 'Nd8 Se8 N4'
_cell_length_a 4.1854
_cell_length_b 15.2391
_cell_length_c 7.6849
_cell_angle_alpha 90.00
_cell_angle_beta 90.00
_cell_angle_gamma 90.00
_symmetry_space_group_name_H-M 'C m c 21'
_symmetry_Int_Tables_number 36
loop_
_symmetry_equiv_pos_as_xyz
'x,y,z'
'-x,-y,z+1/2'
'-x,y,z'
'x,-y,z+1/2'
'x+1/2,y+1/2,z'
'-x+1/2,-y+1/2,z+1/2'
'-x+1/2,y+1/2,z'
'x+1/2,-y+1/2,z+1/2'
loop_
_atom_site_label
_atom_site_type_symbol
_atom_site_fract_x
_atom_site_fract_y
_atom_site_fract_z
_atom_site_occupancy
Nd1 Nd 0.0000 0.0567 0.0000 1
Nd2 Nd 0.0000 0.3479 0.8786 1
Se1 Se 0.0000 0.2922 0.5144 1
Se2 Se 0.0000 0.4564 0.2032 1
N1 N 0.0000 0.0867 0.3274 1
```

Largest 10 diffraction maxima, low angle first, 2θ from 10° to 90°:
2theta	I_rel
23.15	32
26.11	40
27.61	54
30.01	100
32.16	47
36.33	66
37.02	50
37.29	38
38.37	33
43.23	38

The following is a theoretical XRD peak list of Zr2Fe3Co. It was derived from DFT lattice parameters and positions (PBE), using λ = 1.5418 Å (Cu Kα).
Peak positions follow from Bragg's law for the DFT cell and can differ from measured ones.

Crystal structure
```
data_Zr2Fe3Co
_chemical_formula_sum 'Zr6 Fe9 Co3'
_cell_length_a 4.9387
_cell_length_b 4.9387
_cell_length_c 12.2637
_cell_angle_alpha 90.00
_cell_angle_beta 90.00
_cell_angle_gamma 120.00
_symmetry_space_group_name_H-M 'R -3 m'
_symmetry_Int_Tables_number 166
_symmetry_space_group_name_Hall '-R 3 2"'
loop_
_atom_site_label
_atom_site_type_symbol
_atom_site_fract_x
_atom_site_fract_y
_atom_site_fract_z
_atom_site_occupancy
Zr1 Zr 0.0000 0.0000 0.1249 1
Fe1 Fe 0.0000 0.5000 0.0000 1
Co1 Co 0.0000 0.0000 0.5000 1
```

Largest 10 diffraction maxima, low angle first, 2θ from 10° to 90°:
2theta	I_rel
36.04	43
36.38	45
42.49	51
42.78	100
42.93	47
44.89	39
69.66	22
69.87	21
76.45	23
77.28	22

The following is a theoretical XRD peak list of Pm7BiP5. It was derived from DFT lattice parameters and positions (PBE), using λ = 1.5418 Å (Cu Kα).
Peak positions follow from Bragg's law for the DFT cell and can differ from measured ones.

Crystal structure
```
data_Pm7BiP5
_chemical_formula_sum 'Pm28 Bi4 P20'
_cell_length_a 4.1888
_cell_length_b 13.6650
_cell_length_c 24.6538
_cell_angle_alpha 90.00
_cell_angle_beta 90.00
_cell_angle_gamma 90.00
_symmetry_space_group_name_H-M 'C m c m'
_symmetry_Int_Tables_number 63
_symmetry_space_group_name_Hall '-C 2c 2'
loop_
_atom_site_label
_atom_site_type_symbol
_atom_site_fract_x
_atom_site_fract_y
_atom_site_fract_z
_atom_site_occupancy
Pm1 Pm 0.0000 0.0274 0.2500 1
Pm2 Pm 0.0000 0.1358 0.5342 1
Pm3 Pm 0.0000 0.3265 0.1701 1
Pm4 Pm 0.0000 0.4085 0.6032 1
Bi1 Bi 0.0000 0.2969 0.7500 1
P1 P 0.0000 0.0425 0.6421 1
P2 P 0.0000 0.2280 0.0719 1
P3 P 0.0000 0.5000 0.0000 1
```

Largest 10 diffraction maxima, low angle first, 2θ from 10° to 90°:
2theta	I_rel
26.54	39
27.09	18
28.51	95
28.72	52
29.87	100
30.98	72
43.19	33
43.60	24
52.57	35
53.60	20

The following is a theoretical XRD peak list of SmAlCuPd. It was derived from DFT lattice parameters and positions (PBE), using λ = 1.5418 Å (Cu Kα).
Peak positions follow from Bragg's law for the DFT cell and can differ from measured ones.

Crystal structure
```
data_SmAlCuPd
_chemical_formula_sum 'Sm2 Al2 Cu2 Pd2'
_cell_length_a 7.5910
_cell_length_b 4.3741
_cell_length_c 5.3213
_cell_angle_alpha 90.00
_cell_angle_beta 118.34
_cell_angle_gamma 90.00
_symmetry_space_group_name_H-M 'C 1 m 1'
_symmetry_Int_Tables_number 8
loop_
_symmetry_equiv_pos_as_xyz
'x,y,z'
'x,-y,z'
'x+1/2,y+1/2,z'
'x+1/2,-y+1/2,z'
loop_
_atom_site_label
_atom_site_type_symbol
_atom_site_fract_x
_atom_site_fract_y
_atom_site_fract_z
_atom_site_occupancy
Sm1 Sm 0.0000 0.0000 0.0000 1
Al1 Al 0.4987 0.0000 0.4958 1
Cu1 Cu 0.2062 0.0000 0.6184 1
Pd1 Pd 0.2922 0.5000 0.3766 1
```

Largest 10 diffraction maxima, low angle first, 2θ from 10° to 90°:
2theta	I_rel
24.31	97
34.82	88
39.93	77
41.24	100
57.64	21
58.75	24
71.04	22
71.63	17
74.26	16
74.68	16

The following is a theoretical XRD peak list of Sr2Au3. It was derived from DFT lattice parameters and positions (PBE), using λ = 1.5418 Å (Cu Kα).
Peak positions follow from Bragg's law for the DFT cell and can differ from measured ones.

Crystal structure
```
data_Sr2Au3
_chemical_formula_sum 'Sr8 Au12'
_cell_length_a 4.1387
_cell_length_b 29.3163
_cell_length_c 4.6352
_cell_angle_alpha 90.00
_cell_angle_beta 90.00
_cell_angle_gamma 90.00
_symmetry_space_group_name_H-M 'C m c m'
_symmetry_Int_Tables_number 63
_symmetry_space_group_name_Hall '-C 2c 2'
loop_
_atom_site_label
_atom_site_type_symbol
_atom_site_fract_x
_atom_site_fract_y
_atom_site_fract_z
_atom_site_occupancy
Sr1 Sr 0.0000 0.0703 0.2500 1
Sr2 Sr 0.0000 0.2044 0.7500 1
Au1 Au 0.0000 0.3195 0.7500 1
Au2 Au 0.0000 0.3800 0.2500 1
Au3 Au 0.0000 0.4743 0.2500 1
```

Largest 10 diffraction maxima, low angle first, 2θ from 10° to 90°:
2theta	I_rel
21.69	45
30.36	100
36.26	58
38.86	31
40.25	37
43.75	22
44.93	21
58.08	30
59.93	17
85.05	13

The following is a theoretical XRD peak list of LaZrCu2N. It was derived from DFT lattice parameters and positions (PBE), using λ = 1.5418 Å (Cu Kα).
Peak positions follow from Bragg's law for the DFT cell and can differ from measured ones.

Crystal structure
```
data_LaZrCu2N
_chemical_formula_sum 'La1 Zr1 Cu2 N1'
_cell_length_a 5.0225
_cell_length_b 5.0225
_cell_length_c 5.4856
_cell_angle_alpha 90.00
_cell_angle_beta 90.00
_cell_angle_gamma 90.00
_symmetry_space_group_name_H-M 'P 4/m m m'
_symmetry_Int_Tables_number 123
_symmetry_space_group_name_Hall '-P 4 2'
loop_
_atom_site_label
_atom_site_type_symbol
_atom_site_fract_x
_atom_site_fract_y
_atom_site_fract_z
_atom_site_occupancy
La1 La 0.0000 0.0000 0.0000 1
Zr1 Zr 0.0000 0.0000 0.5000 1
Cu1 Cu 0.0000 0.5000 0.0000 1
N1 N 0.5000 0.5000 0.5000 1
```

Largest 10 diffraction maxima, low angle first, 2θ from 10° to 90°:
2theta	I_rel
16.16	36
17.66	100
32.65	35
35.76	54
37.36	31
40.15	25
49.19	42
51.46	18
52.67	23
62.29	20

What did the sixth record say?
The following is a theoretical XRD peak list of LaZrCu2N. It was derived from DFT lattice parameters and positions (PBE), using λ = 1.5418 Å (Cu Kα).
Peak positions follow from Bragg's law for the DFT cell and can differ from measured ones.

Crystal structure
```
data_LaZrCu2N
_chemical_formula_sum 'La1 Zr1 Cu2 N1'
_cell_length_a 5.0225
_cell_length_b 5.0225
_cell_length_c 5.4856
_cell_angle_alpha 90.00
_cell_angle_beta 90.00
_cell_angle_gamma 90.00
_symmetry_space_group_name_H-M 'P 4/m m m'
_symmetry_Int_Tables_number 123
_symmetry_space_group_name_Hall '-P 4 2'
loop_
_atom_site_label
_atom_site_type_symbol
_atom_site_fract_x
_atom_site_fract_y
_atom_site_fract_z
_atom_site_occupancy
La1 La 0.0000 0.0000 0.0000 1
Zr1 Zr 0.0000 0.0000 0.5000 1
Cu1 Cu 0.0000 0.5000 0.0000 1
N1 N 0.5000 0.5000 0.5000 1
```

Largest 10 diffraction maxima, low angle first, 2θ from 10° to 90°:
2theta	I_rel
16.16	36
17.66	100
32.65	35
35.76	54
37.36	31
40.15	25
49.19	42
51.46	18
52.67	23
62.29	20